Record 1
Calculated XRD peak list of Zr3U2N4 for λ = 1.5418 Å (Cu Kα), from a DFT-relaxed cell (GGA-PBE, Alexandria).

Peak list (6 most intense, 15° ≤ 2θ ≤ 90°, by intensity)
| Position (°2θ) | I (rel.) |
| --- | --- |
| 33.3 | 100 |
| 33.7 | 78 |
| 40.0 | 68 |
| 36.5 | 50 |
| 55.2 | 28 |
| 68.1 | 24 |

Cell and atoms:
abc: 5.5690 5.5690 8.0179
angles: 113.48 113.48 33.57
Positions (direct):
Zr: 0.0000 0.0000 0.0000
Zr: 0.2196 0.2196 0.8162
Zr: 0.7804 0.7804 0.1838
U: 0.4205 0.4205 0.5874
U: 0.5795 0.5795 0.4126
N: 0.1817 0.1817 0.2966
N: 0.3978 0.3978 0.1016
N: 0.6022 0.6022 0.8984
N: 0.8183 0.8183 0.7034

=====

Record 2
Calculated XRD peak list of V32N3 for λ = 1.5418 Å (Cu Kα), from a DFT-relaxed cell (GGA-PBE, Alexandria).

Peak list (6 most intense, 15° ≤ 2θ ≤ 90°, by intensity)
| Position (°2θ) | I (rel.) |
| --- | --- |
| 42.4 | 100 |
| 42.1 | 98 |
| 41.7 | 90 |
| 77.7 | 24 |
| 76.8 | 22 |
| 76.1 | 21 |

Cell and atoms:
abc: 8.6794 2.9838 17.3324
angles: 90.00 90.86 90.00
Positions (direct):
V: 0.1081 0.0000 0.3046
V: 0.1127 0.5000 0.4362
V: 0.1215 0.0000 0.8100
V: 0.1268 0.5000 0.9390
V: 0.1290 0.0000 0.0547
V: 0.1287 0.0000 0.5579
V: 0.1484 0.5000 0.1699
V: 0.1633 0.5000 0.6739
V: 0.3403 0.0000 0.4207
V: 0.3701 0.5000 0.3059
V: 0.3719 0.0000 0.9354
V: 0.3797 0.5000 0.8138
V: 0.3833 0.0000 0.1833
V: 0.3831 0.5000 0.0578
V: 0.3892 0.5000 0.5567
V: 0.3909 0.0000 0.6883
V: 0.6091 0.0000 0.3117
V: 0.6108 0.5000 0.4433
V: 0.6167 0.0000 0.8167
V: 0.6169 0.5000 0.9422
V: 0.6203 0.5000 0.1862
V: 0.6281 0.0000 0.0646
V: 0.6299 0.5000 0.6941
V: 0.6597 0.0000 0.5793
V: 0.8367 0.5000 0.3261
V: 0.8516 0.5000 0.8301
V: 0.8713 0.0000 0.4421
V: 0.8710 0.0000 0.9453
V: 0.8732 0.5000 0.0610
V: 0.8785 0.0000 0.1900
V: 0.8873 0.5000 0.5638
V: 0.8919 0.0000 0.6954
N: 0.0070 0.5000 0.7519
N: 0.5000 0.0000 0.5000
N: 0.9930 0.5000 0.2481